The following is a calculated powder diffraction line list of NaPrYFeO6. It was derived from a structure optimized by DFT (GGA+U), using Cu Kα, 1.54184 Å.

Structure:
```
NaPrYFeO6
1.0
0.000 4.023 4.023
4.023 0.000 4.023
4.023 4.023 0.000
Na Pr Y Fe O
1 1 1 1 6
Direct
0.000 0.000 0.000
0.500 0.500 0.500
0.250 0.250 0.250
0.750 0.750 0.750
0.519 0.519 0.981
0.519 0.981 0.519
0.519 0.981 0.981
0.981 0.519 0.519
0.981 0.519 0.981
0.981 0.981 0.519
```

Largest 12 diffraction maxima, sorted by position, 10° ≤ 2θ ≤ 80°:
Position (°2θ)  I/Imax
19.11  395
31.45  1000
37.06  237
38.77  58
45.07  367
49.37  114
55.99  379
59.72  80
65.64  211
69.06  76
74.60  169
77.85  29